Structure and theoretical PXRD pattern of MnFeB (a structure optimized by DFT (PBE); Cu Kα).
Intensities are scaled so that the largest is 100.

Structural model:
a b c (Å): 5.0742 4.1684 4.1496
angles (deg): 75.18 52.58 52.24
Element x y z (fractional)
Mn 0.1629 0.8371 0.1629
Mn 0.8371 0.1629 0.8371
Fe 0.3333 0.3333 0.6667
Fe 0.6667 0.6667 0.3333
B 0.2500 0.2500 0.2500
B 0.7500 0.7500 0.7500

Peak list (10 most intense, 2θ from 10° to 80°, sorted by position)
2theta  I/Imax
24.89  10.1
35.38  30.1
43.01  43.8
45.32  100.0
45.50  92.4
50.29  12.7
56.86  23.8
57.32  11.5
57.54  14.1
74.46  7.7

---

Structure and theoretical PXRD pattern of MnFe4B2P (a structure optimized by DFT (PBE); Cu Kα).
Intensities are scaled so that the largest is 100.

Structural model:
a b c (Å): 6.4191 6.4191 6.4191
angles (deg): 129.27 129.27 74.57
Element x y z (fractional)
Mn 0.0000 0.0000 0.0000
Mn 0.5000 0.5000 0.0000
Fe 0.0302 0.5302 0.8387
Fe 0.1915 0.0302 0.5000
Fe 0.3085 0.8085 0.8387
Fe 0.4698 0.3085 0.5000
Fe 0.5302 0.6915 0.5000
Fe 0.6915 0.1915 0.1613
Fe 0.8085 0.9698 0.5000
Fe 0.9698 0.4698 0.1613
B 0.1184 0.3816 0.5000
B 0.3816 0.8816 0.2631
B 0.6184 0.1184 0.7369
B 0.8816 0.6184 0.5000
P 0.2500 0.2500 0.0000
P 0.7500 0.7500 0.0000

Peak list (10 most intense, 2θ from 10° to 80°, sorted by position)
2theta  I/Imax
35.14  14.5
37.62  70.3
42.34  40.2
45.50  100.0
46.72  20.2
48.66  64.1
52.63  51.0
71.31  12.8
75.80  20.7
76.75  17.8

---

Structure and theoretical PXRD pattern of MnFe4SiB2 (a structure optimized by DFT (PBE); Cu Kα).
Intensities are scaled so that the largest is 100.

Structural model:
a b c (Å): 6.4575 6.4575 6.4575
angles (deg): 129.29 129.29 74.54
Element x y z (fractional)
Mn 0.0000 0.0000 0.0000
Mn 0.5000 0.5000 0.0000
Fe 0.0326 0.5326 0.8374
Fe 0.1952 0.0326 0.5000
Fe 0.3048 0.8048 0.8374
Fe 0.4674 0.3048 0.5000
Fe 0.5326 0.6952 0.5000
Fe 0.6952 0.1952 0.1626
Fe 0.8048 0.9674 0.5000
Fe 0.9674 0.4674 0.1626
Si 0.2500 0.2500 0.0000
Si 0.7500 0.7500 0.0000
B 0.1192 0.3808 0.5000
B 0.3808 0.8808 0.2616
B 0.6192 0.1192 0.7384
B 0.8808 0.6192 0.5000

Peak list (10 most intense, 2θ from 10° to 80°, sorted by position)
2theta  I/Imax
34.92  17.4
37.40  78.5
42.08  43.0
45.22  100.0
46.44  20.5
48.36  67.9
52.31  53.9
70.85  13.8
75.26  20.5
76.23  17.3

---

Structure and theoretical PXRD pattern of FeB2Mo2 (a structure optimized by DFT (PBE); Cu Kα).
Intensities are scaled so that the largest is 100.

Structural model:
a b c (Å): 6.3952 6.3952 2.8201
angles (deg): 90.00 90.00 90.00
Element x y z (fractional)
Fe 0.0000 0.0000 0.0000
Fe 0.5000 0.5000 0.0000
B 0.1576 0.3424 0.5000
B 0.3424 0.8424 0.5000
B 0.6576 0.1576 0.5000
B 0.8424 0.6576 0.5000
Mo 0.1424 0.6424 0.0000
Mo 0.3576 0.1424 0.0000
Mo 0.6424 0.8576 0.0000
Mo 0.8576 0.3576 0.0000

Peak list (10 most intense, 2θ from 10° to 80°, sorted by position)
2theta  I/Imax
31.28  100.0
31.73  73.7
44.82  60.2
45.15  97.0
51.52  8.5
55.95  50.2
57.66  7.4
61.79  10.8
66.29  10.3
75.12  15.8

---

Structure and theoretical PXRD pattern of FeB2Mo2 (a structure optimized by DFT (PBE); Cu Kα).
Intensities are scaled so that the largest is 100.

Structural model:
a b c (Å): 5.7759 5.7759 3.1664
angles (deg): 90.00 90.00 90.00
Element x y z (fractional)
Fe 0.0000 0.0000 0.0000
Fe 0.5000 0.5000 0.0000
B 0.1131 0.3869 0.0000
B 0.3869 0.8869 0.0000
B 0.6131 0.1131 0.0000
B 0.8869 0.6131 0.0000
Mo 0.1776 0.6776 0.5000
Mo 0.3224 0.1776 0.5000
Mo 0.6776 0.8224 0.5000
Mo 0.8224 0.3224 0.5000

Peak list (10 most intense, 2θ from 10° to 80°, sorted by position)
2theta  I/Imax
28.18  30.5
34.73  81.4
35.89  34.7
42.36  91.5
44.36  21.4
45.31  100.0
49.93  37.1
69.66  20.8
73.99  29.2
76.10  35.5

---

Structure and theoretical PXRD pattern of NbFeB (a structure optimized by DFT (PBE); Cu Kα).
Intensities are scaled so that the largest is 100.

Structural model:
a b c (Å): 6.0087 6.0087 3.2176
angles (deg): 90.00 90.00 120.00
Element x y z (fractional)
Nb 0.0000 0.5889 0.0000
Nb 0.4111 0.4111 0.0000
Nb 0.5889 0.0000 0.0000
Fe 0.0000 0.2387 0.5000
Fe 0.2387 0.0000 0.5000
Fe 0.7613 0.7613 0.5000
B 0.0000 0.0000 0.0000
B 0.3333 0.6667 0.5000
B 0.6667 0.3333 0.5000

Peak list (10 most intense, 2θ from 10° to 80°, sorted by position)
2theta  I/Imax
29.74  35.2
32.72  28.1
34.47  12.9
41.11  100.0
44.80  52.3
46.15  55.7
57.27  15.0
64.57  13.1
71.67  32.6
76.50  22.7

---

Structure and theoretical PXRD pattern of NbFeB (a structure optimized by DFT (PBE); Cu Kα).
Intensities are scaled so that the largest is 100.

Structural model:
a b c (Å): 3.6850 3.6850 2.9580
angles (deg): 90.00 90.00 120.00
Element x y z (fractional)
Nb 0.0000 0.0000 0.0000
Fe 0.3333 0.6667 0.5000
B 0.6667 0.3333 0.5000

Peak list (10 most intense, 2θ from 10° to 80°, sorted by position)
2theta  I/Imax
27.96  46.2
30.21  1.7
41.63  100.0
49.47  41.6
57.78  6.0
59.07  1.9
62.83  6.5
66.59  23.2
70.13  6.6
79.45  4.6

---

Structure and theoretical PXRD pattern of Nb2FeB2 (a structure optimized by DFT (PBE); Cu Kα).
Intensities are scaled so that the largest is 100.

Structural model:
a b c (Å): 5.7565 5.7565 3.4040
angles (deg): 90.00 90.00 90.00
Element x y z (fractional)
Nb 0.1797 0.3203 0.0000
Nb 0.3203 0.8203 0.0000
Nb 0.6797 0.1797 0.0000
Nb 0.8203 0.6797 0.0000
Fe 0.0000 0.0000 0.5000
Fe 0.5000 0.5000 0.5000
B 0.1147 0.6147 0.5000
B 0.3853 0.1147 0.5000
B 0.6147 0.8853 0.5000
B 0.8853 0.3853 0.5000

Peak list (10 most intense, 2θ from 10° to 80°, sorted by position)
2theta  I/Imax
26.18  33.2
34.34  36.1
34.85  72.5
41.07  99.7
44.10  100.0
50.11  34.1
53.87  23.0
65.77  22.4
73.28  29.0
75.42  25.5

---

Structure and theoretical PXRD pattern of Nd5Fe2B6 (a structure optimized by DFT (PBE); Cu Kα).
Intensities are scaled so that the largest is 100.

Structural model:
a b c (Å): 8.7307 8.7307 8.7307
angles (deg): 36.63 36.63 36.63
Element x y z (fractional)
Nd 0.0000 0.0000 0.0000
Nd 0.2510 0.2510 0.2510
Nd 0.4171 0.4171 0.4171
Nd 0.5829 0.5829 0.5829
Nd 0.7490 0.7490 0.7490
Fe 0.1223 0.1223 0.1223
Fe 0.8777 0.8777 0.8777
B 0.1667 0.5000 0.8333
B 0.1667 0.8333 0.5000
B 0.5000 0.1667 0.8333
B 0.5000 0.8333 0.1667
B 0.8333 0.1667 0.5000
B 0.8333 0.5000 0.1667

Peak list (10 most intense, 2θ from 10° to 80°, sorted by position)
2theta  I/Imax
21.85  20.6
26.17  22.6
31.83  37.5
32.64  100.0
34.95  20.0
39.63  38.7
46.24  13.2
56.31  22.2
57.75  13.5
58.26  21.8